(1)
Calculated X-ray powder pattern of NaZn12Pt4 for Cu Ka, from DFT lattice parameters and positions (GGA-PBE).

Most intense lines, 15 to 90 degrees two-theta, in order of falling intensity:
d [Å]	intensity
1.959	100
4.380	90
3.097	74
1.788	72
2.770	65
2.529	30
1.385	25
1.321	22
1.718	21
2.341	18

Atomic structure:
Cell: 7.5865 7.5865 7.5865 Å, 109.47 109.47 109.47°
Fractional coordinates of all 17 atoms:
Na  0.0000  0.0000  0.0000
Zn  0.1536  0.5042  0.3506
Zn  0.1536  0.8030  0.6494
Zn  0.1969  0.3506  0.8464
Zn  0.3506  0.1536  0.5042
Zn  0.3506  0.8464  0.1969
Zn  0.4958  0.6494  0.8464
Zn  0.5042  0.3506  0.1536
Zn  0.6494  0.1536  0.8030
Zn  0.6494  0.8464  0.4958
Zn  0.8030  0.6494  0.1536
Zn  0.8464  0.1969  0.3506
Zn  0.8464  0.4958  0.6494
Pt  0.0000  0.0000  0.5000
Pt  0.0000  0.5000  0.0000
Pt  0.5000  0.0000  0.0000
Pt  0.5000  0.5000  0.5000

=====

(2)
Calculated X-ray powder pattern of PuZr2UAs4 for Cu Ka, from DFT lattice parameters and positions (GGA-PBE).

Most intense lines, 15 to 90 degrees two-theta, in order of falling intensity:
d [Å]	intensity
2.816	100
2.006	25
1.976	24
3.237	18
3.376	13
1.620	13
2.001	12
1.981	12
1.408	12
1.267	11

Atomic structure:
Cell: 6.8396 3.9627 6.9799 Å, 90.00 109.20 90.00°
Fractional coordinates of all 8 atoms:
Pu  0.0000  0.0000  0.0000
Zr  0.0000  0.5000  0.5000
Zr  0.5000  0.0000  0.5000
U  0.5000  0.5000  0.0000
As  0.2470  0.0000  0.7366
As  0.2560  0.5000  0.2630
As  0.7440  0.5000  0.7370
As  0.7530  0.0000  0.2634

=====

(3)
Calculated X-ray powder pattern of Ce7Sn3Hg for Cu Ka, from DFT lattice parameters and positions (GGA-PBE).

Most intense lines, 15 to 90 degrees two-theta, in order of falling intensity:
d [Å]	intensity
2.487	100
3.026	66
2.988	66
2.126	50
1.610	27
1.622	26
4.600	16
1.244	14
2.973	14
1.287	14

Atomic structure:
Cell: 8.1686 8.1686 8.1686 Å, 137.08 111.46 84.37°
Fractional coordinates of all 11 atoms:
Ce  0.0000  0.0000  0.0000
Ce  0.1107  0.7586  0.3520
Ce  0.3457  0.5000  0.8457
Ce  0.4066  0.7586  0.6480
Ce  0.5934  0.2414  0.3520
Ce  0.6543  0.5000  0.1543
Ce  0.8893  0.2414  0.6480
Sn  0.2612  0.2612  0.0000
Sn  0.5000  0.0000  0.5000
Sn  0.7388  0.7388  0.0000
Hg  0.0000  0.5000  0.5000